# 1
For PrS5Cl, a PBE-relaxed structure gives the theoretical XRD peak list in this record (λ = 1.5418 Å (Cu Kα)).
Kinematic intensities with the Lorentz-polarization factor, no thermal factor.

Largest 10 diffraction maxima, sorted by position, 15 to 90 degrees two-theta:
16.86°, I 100, hkl 0 0 2
19.31°, I 21, hkl 0 1 0
20.48°, I 34, hkl 1 0 0
20.89°, I 28, hkl 0 1 1
23.66°, I 32, hkl 1 0 -1
23.94°, I 47, hkl 1 0 2
26.08°, I 27, hkl 0 1 -2
31.70°, I 32, hkl 0 1 3
35.29°, I 24, hkl 1 1 -2
40.88°, I 28, hkl 2 0 1

Structure:
a = 4.4210 Å, b = 4.5983 Å, c = 10.7222 Å
α = 88.33°, β = 78.80°, γ = 88.94°
Space group P1 (No. 1)
Inequivalent atoms, fractional coordinates:
Pr 0.0000 0.0000 0.0000 (multiplicity 1)
S 0.4235 0.1469 0.1563 (multiplicity 1)
S 0.4575 0.6996 0.0990 (multiplicity 1)
S 0.6589 0.3938 0.5053 (multiplicity 1)
S 0.9012 0.0506 0.5750 (multiplicity 1)
S 0.9652 0.7272 0.4371 (multiplicity 1)
Cl 0.0824 0.4991 0.8432 (multiplicity 1)

# 2
For Nd2USb3, a PBE-relaxed structure gives the theoretical XRD peak list in this record (λ = 1.5418 Å (Cu Kα)).
Kinematic intensities with the Lorentz-polarization factor, no thermal factor.

Largest 10 diffraction maxima, sorted by position, 15 to 90 degrees two-theta:
24.36°, I 7, hkl 1 1 3
28.18°, I 87, hkl 2 0 0
28.25°, I 43, hkl 0 0 6
40.31°, I 100, hkl 2 2 0
49.92°, I 36, hkl 2 2 6
65.95°, I 23, hkl 4 2 0
66.09°, I 23, hkl 4 0 6
73.25°, I 23, hkl 4 2 6
73.35°, I 11, hkl 2 2 12
87.07°, I 8, hkl 4 4 0

Structure:
a = 6.3277 Å, b = 6.3397 Å, c = 18.9528 Å
α = 90.00°, β = 90.00°, γ = 90.00°
Space group Fmmm (No. 69)
Inequivalent atoms, fractional coordinates:
Nd 0.0000 0.0000 0.1677 (multiplicity 8)
U 0.0000 0.0000 0.5000 (multiplicity 4)
Sb 0.0000 0.0000 0.0000 (multiplicity 4)
Sb 0.0000 0.0000 0.3365 (multiplicity 8)

# 3
For La5Pm2Dy5, a PBE-relaxed structure gives the theoretical XRD peak list in this record (λ = 1.5418 Å (Cu Kα)).
Kinematic intensities with the Lorentz-polarization factor, no thermal factor.

Largest 10 diffraction maxima, sorted by position, 15 to 90 degrees two-theta:
30.02°, I 100, hkl 3 1 1
34.63°, I 17, hkl 6 0 -2
34.88°, I 34, hkl 0 2 0
49.97°, I 24, hkl 6 0 2
50.16°, I 12, hkl 0 2 4
59.24°, I 15, hkl 9 1 -1
59.54°, I 22, hkl 3 3 1
59.65°, I 7, hkl 3 1 5
62.39°, I 12, hkl 6 2 2
81.21°, I 9, hkl 9 3 -1

Structure:
a = 15.5408 Å, b = 5.1496 Å, c = 11.5147 Å
α = 90.00°, β = 116.81°, γ = 90.00°
Space group C2/m (No. 12)
Inequivalent atoms, fractional coordinates:
La 0.0000 0.0000 0.0000 (multiplicity 2)
La 0.0818 0.0000 0.7504 (multiplicity 4)
La 0.2488 0.0000 0.2495 (multiplicity 4)
Pm 0.1660 0.0000 0.4993 (multiplicity 4)
Dy 0.0000 0.5000 0.5000 (multiplicity 2)
Dy 0.0839 0.5000 0.2517 (multiplicity 4)
Dy 0.1670 0.5000 0.0002 (multiplicity 4)

# 4
For BaTaP2Ru, a PBE-relaxed structure gives the theoretical XRD peak list in this record (λ = 1.5418 Å (Cu Kα)).
Kinematic intensities with the Lorentz-polarization factor, no thermal factor.

Largest 10 diffraction maxima, sorted by position, 15 to 90 degrees two-theta:
23.28°, I 23, hkl 1 0 1
26.57°, I 39, hkl 0 0 4
30.03°, I 36, hkl 1 0 3
34.52°, I 100, hkl 1 1 2
41.87°, I 15, hkl 1 1 4
45.52°, I 32, hkl 2 0 0
52.22°, I 38, hkl 1 1 6
53.48°, I 23, hkl 2 0 4
76.98°, I 20, hkl 3 1 2
89.20°, I 17, hkl 3 1 6

Structure:
a = 3.9855 Å, b = 3.9855 Å, c = 13.4182 Å
α = 90.00°, β = 90.00°, γ = 90.00°
Space group I-4m2 (No. 119)
Inequivalent atoms, fractional coordinates:
Ba 0.0000 0.0000 0.0000 (multiplicity 2)
Ta 0.0000 0.5000 0.2500 (multiplicity 2)
P 0.0000 0.0000 0.3595 (multiplicity 4)
Ru 0.0000 0.5000 0.7500 (multiplicity 2)

# 5
For Pa2NiS4Br, a PBE-relaxed structure gives the theoretical XRD peak list in this record (λ = 1.5418 Å (Cu Kα)).
Kinematic intensities with the Lorentz-polarization factor, no thermal factor.

Largest 10 diffraction maxima, sorted by position, 15 to 90 degrees two-theta:
16.64°, I 82, hkl 2 0 -1
21.15°, I 40, hkl 0 0 2
21.37°, I 47, hkl 2 0 -2
28.26°, I 100, hkl 1 1 1
30.04°, I 52, hkl 1 1 -2
33.20°, I 70, hkl 2 0 2
33.83°, I 40, hkl 3 1 -1
35.35°, I 80, hkl 3 1 -2
35.69°, I 48, hkl 3 1 0
46.63°, I 61, hkl 0 2 0

Structure:
a = 10.8529 Å, b = 3.8932 Å, c = 9.2230 Å
α = 90.00°, β = 114.36°, γ = 90.00°
Space group C2/m (No. 12)
Inequivalent atoms, fractional coordinates:
Pa 0.1946 0.0000 0.2806 (multiplicity 4)
Ni 0.0000 0.0000 0.5000 (multiplicity 2)
S 0.1137 0.5000 0.4256 (multiplicity 4)
S 0.1568 0.0000 0.7688 (multiplicity 4)
Br 0.0000 0.5000 0.0000 (multiplicity 2)

# 6
For Tb2Zn5Ni5, a PBE-relaxed structure gives the theoretical XRD peak list in this record (λ = 1.5418 Å (Cu Kα)).
Kinematic intensities with the Lorentz-polarization factor, no thermal factor.

Largest 10 diffraction maxima, sorted by position, 15 to 90 degrees two-theta:
29.87°, I 79, hkl 1 0 2
35.32°, I 31, hkl 0 1 3
40.82°, I 40, hkl 0 2 2
41.10°, I 18, hkl 0 0 4
41.70°, I 53, hkl 1 2 0
41.91°, I 100, hkl 1 1 3
44.52°, I 41, hkl 2 0 0
61.98°, I 23, hkl 2 2 2
67.60°, I 23, hkl 1 3 3
74.70°, I 16, hkl 0 2 6

Structure:
a = 4.0698 Å, b = 5.1167 Å, c = 8.7846 Å
α = 90.00°, β = 90.00°, γ = 90.00°
Space group Pmmm (No. 47)
Inequivalent atoms, fractional coordinates:
Tb 0.0000 0.0000 0.0000 (multiplicity 1)
Tb 0.0000 0.5000 0.5000 (multiplicity 1)
Zn 0.5000 0.0000 0.5000 (multiplicity 1)
Zn 0.5000 0.2520 0.2440 (multiplicity 4)
Ni 0.0000 0.0000 0.3328 (multiplicity 2)
Ni 0.0000 0.5000 0.1609 (multiplicity 2)
Ni 0.5000 0.5000 0.0000 (multiplicity 1)

# 7
For Tb3Pr3Sm8, a PBE-relaxed structure gives the theoretical XRD peak list in this record (λ = 1.5418 Å (Cu Kα)).
Kinematic intensities with the Lorentz-polarization factor, no thermal factor.

Largest 10 diffraction maxima, sorted by position, 15 to 90 degrees two-theta:
28.51°, I 14, hkl 1 2 3
29.18°, I 32, hkl 1 1 4
30.14°, I 30, hkl 0 3 3
31.07°, I 53, hkl 2 0 0
31.32°, I 100, hkl 1 3 2
33.13°, I 55, hkl 1 0 5
43.83°, I 21, hkl 2 3 3
55.44°, I 20, hkl 3 3 2
56.61°, I 21, hkl 3 0 5
61.37°, I 13, hkl 1 6 5

Structure:
a = 5.7562 Å, b = 10.9297 Å, c = 15.3156 Å
α = 90.00°, β = 90.00°, γ = 90.00°
Space group Immm (No. 71)
Inequivalent atoms, fractional coordinates:
Tb 0.0000 0.0000 0.0000 (multiplicity 2)
Tb 0.0000 0.2982 0.0000 (multiplicity 4)
Pr 0.0000 0.0000 0.5000 (multiplicity 2)
Pr 0.0000 0.5000 0.1816 (multiplicity 4)
Sm 0.0000 0.1604 0.2204 (multiplicity 8)
Sm 0.0000 0.3392 0.3973 (multiplicity 8)

# 8
For YSeO3F, a PBE-relaxed structure gives the theoretical XRD peak list in this record (λ = 1.5418 Å (Cu Kα)).
Kinematic intensities with the Lorentz-polarization factor, no thermal factor.

Largest 10 diffraction maxima, sorted by position, 15 to 90 degrees two-theta:
24.68°, I 51, hkl 0 0 2
28.30°, I 100, hkl 0 2 1
29.94°, I 65, hkl 2 1 0
30.82°, I 30, hkl 2 1 -1
34.02°, I 28, hkl 2 1 1
47.69°, I 16, hkl 2 3 0
48.29°, I 14, hkl 2 3 -1
49.61°, I 21, hkl 1 2 3
50.55°, I 18, hkl 2 3 1
52.20°, I 23, hkl 0 4 0

Structure:
a = 6.6733 Å, b = 7.0114 Å, c = 7.2971 Å
α = 90.00°, β = 98.62°, γ = 90.00°
Space group P2_1/c (No. 14)
Inequivalent atoms, fractional coordinates:
Y 0.1416 0.1405 0.3248 (multiplicity 4)
Se 0.3497 0.6208 0.2879 (multiplicity 4)
O 0.1739 0.0296 0.6483 (multiplicity 4)
O 0.1740 0.6937 0.7783 (multiplicity 4)
O 0.4878 0.1878 0.3606 (multiplicity 4)
F 0.1692 0.1189 0.0261 (multiplicity 4)

# 9
For Tb6Pb2N, a PBE-relaxed structure gives the theoretical XRD peak list in this record (λ = 1.5418 Å (Cu Kα)).
Kinematic intensities with the Lorentz-polarization factor, no thermal factor.

Largest 10 diffraction maxima, sorted by position, 15 to 90 degrees two-theta:
18.09°, I 1, hkl 2 0 0
25.69°, I 2, hkl 2 2 0
31.60°, I 100, hkl 2 2 2
36.65°, I 53, hkl 4 0 0
52.80°, I 37, hkl 4 4 0
62.85°, I 42, hkl 6 2 2
65.99°, I 13, hkl 4 4 4
77.92°, I 6, hkl 8 0 0
86.51°, I 18, hkl 6 6 2
89.34°, I 18, hkl 8 4 0

Structure:
a = 9.8081 Å, b = 9.8081 Å, c = 9.8081 Å
α = 90.00°, β = 90.00°, γ = 90.00°
Space group Fm-3m (No. 225)
Inequivalent atoms, fractional coordinates:
Tb 0.0000 0.0000 0.2445 (multiplicity 24)
Pb 0.2500 0.2500 0.2500 (multiplicity 8)
N 0.0000 0.0000 0.0000 (multiplicity 4)

# 10
For Rb2AsS4, a PBE-relaxed structure gives the theoretical XRD peak list in this record (λ = 1.5418 Å (Cu Kα)).
Kinematic intensities with the Lorentz-polarization factor, no thermal factor.

Largest 10 diffraction maxima, sorted by position, 15 to 90 degrees two-theta:
15.32°, I 100, hkl 1 1 1
20.34°, I 21, hkl 0 0 2
23.03°, I 56, hkl 2 2 0
25.60°, I 19, hkl 1 3 1
27.22°, I 54, hkl 2 0 2
28.99°, I 24, hkl 0 4 0
30.91°, I 56, hkl 2 2 2
35.67°, I 30, hkl 0 4 2
44.01°, I 19, hkl 0 2 4
54.77°, I 19, hkl 2 4 4

Structure:
a = 9.9125 Å, b = 12.3207 Å, c = 8.7319 Å
α = 90.00°, β = 90.00°, γ = 90.00°
Space group Fmm2 (No. 42)
Inequivalent atoms, fractional coordinates:
Rb 0.2500 0.2500 0.0000 (multiplicity 8)
As 0.0000 0.0000 0.1099 (multiplicity 4)
S 0.0000 0.1501 0.2381 (multiplicity 8)
S 0.1462 0.0000 0.9184 (multiplicity 8)

# 11
For Tm4B, a PBE-relaxed structure gives the theoretical XRD peak list in this record (λ = 1.5418 Å (Cu Kα)).
Kinematic intensities with the Lorentz-polarization factor, no thermal factor.

Largest 8 diffraction maxima, sorted by position, 15 to 90 degrees two-theta:
30.47°, I 100, hkl 1 1 1
35.32°, I 53, hkl 2 0 0
50.82°, I 38, hkl 2 2 0
60.42°, I 44, hkl 3 1 1
63.41°, I 13, hkl 2 2 2
74.72°, I 6, hkl 4 0 0
82.79°, I 18, hkl 3 3 1
85.44°, I 18, hkl 4 2 0

Structure:
a = 5.0817 Å, b = 5.0817 Å, c = 5.0817 Å
α = 90.00°, β = 90.00°, γ = 90.00°
Space group Pm-3m (No. 221)
Inequivalent atoms, fractional coordinates:
Tm 0.0000 0.0000 0.0000 (multiplicity 1)
Tm 0.0000 0.5000 0.5000 (multiplicity 3)
B 0.5000 0.5000 0.5000 (multiplicity 1)